Calculated powder XRD pattern
Compound: Er5PaSb6
Radiation: CuKα
Structure: the GGA-PBE geometry in Alexandria
Kinematic intensities with the Lorentz-polarization factor, no thermal factor.

Most intense lines, 10 to 90 degrees two-theta, by angle:
25.1°, I 6.2, (2 0 0)
29.0°, I 100.0, (1 3 1)
41.5°, I 76.2, (2 0 2)
49.1°, I 3.4, (3 3 1)
51.5°, I 27.2, (4 0 0)
60.2°, I 12.7, (2 6 2)
66.2°, I 1.5, (4 0 2)
68.2°, I 35.0, (4 6 0)
75.8°, I 26.0, (5 3 1)
81.3°, I 1.2, (6 0 0)

Lattice parameters (Å, degrees): 7.533 13.050 7.533 90.00 109.45 90.00
Space group C2/m (No. 12)
Unique sites:
Er  0.000  0.000  0.000 [2 per cell]
Er  0.000  0.167  0.500 [4 per cell]
Er  0.000  0.333  0.000 [4 per cell]
Pa  0.000  0.500  0.500 [2 per cell]
Sb  0.249  0.500  0.251 [4 per cell]
Sb  0.250  0.166  0.250 [8 per cell]

---

Calculated powder XRD pattern
Compound: Cs2PdRhSe4
Radiation: CuKα
Structure: the GGA-PBE geometry in Alexandria
Kinematic intensities with the Lorentz-polarization factor, no thermal factor.

Most intense lines, 10 to 90 degrees two-theta, by angle:
14.0°, I 31.3, (0 2 2)
14.3°, I 42.7, (0 0 4)
24.8°, I 54.3, (0 2 6)
25.9°, I 100.0, (1 3 3)
29.8°, I 71.4, (1 3 5)
32.5°, I 24.5, (2 2 0)
37.3°, I 47.2, (2 0 6)
43.0°, I 30.6, (0 6 6)
47.9°, I 27.9, (2 0 10)
48.1°, I 39.0, (2 6 0)

Lattice parameters (Å, degrees): 5.946 14.689 24.708 90.00 90.00 90.00
Space group Fddd (No. 70, origin choice 2)
Unique sites:
Cs  0.125  0.125  0.308 [16 per cell]
Pd  0.125  0.125  0.625 [8 per cell]
Rh  0.125  0.125  0.125 [8 per cell]
Se  0.112  0.283  0.431 [32 per cell]

---

Calculated powder XRD pattern
Compound: RbNaAs2Rh
Radiation: CuKα
Structure: the GGA-PBE geometry in Alexandria
Kinematic intensities with the Lorentz-polarization factor, no thermal factor.

Most intense lines, 10 to 90 degrees two-theta, by angle:
15.3°, I 100.0, (1 0 0)
28.2°, I 65.0, (1 1 1)
30.9°, I 89.0, (2 0 0)
34.7°, I 26.5, (2 1 0)
35.8°, I 40.5, (0 0 2)
44.3°, I 32.4, (2 2 0)
48.0°, I 55.5, (2 0 2)
53.3°, I 21.2, (3 1 1)
58.2°, I 28.3, (2 2 2)
84.3°, I 19.5, (4 2 2)

Lattice parameters (Å, degrees): 5.782 5.782 5.018 90.00 90.00 90.00
Space group P4/mmm (No. 123)
Unique sites:
Rb  0.000  0.000  0.000 [1 per cell]
Na  0.500  0.500  0.500 [1 per cell]
As  0.000  0.500  0.000 [2 per cell]
Rh  0.000  0.000  0.500 [1 per cell]

---

Calculated powder XRD pattern
Compound: Na2PdCN2
Radiation: CuKα
Structure: the GGA-PBE geometry in Alexandria
Kinematic intensities with the Lorentz-polarization factor, no thermal factor.

Most intense lines, 10 to 90 degrees two-theta, by angle:
13.5°, I 100.0, (1 1 0)
17.4°, I 39.2, (2 0 0)
24.5°, I 45.5, (1 1 1)
28.3°, I 55.5, (3 1 0)
29.2°, I 35.6, (0 2 1)
34.2°, I 56.6, (2 2 1)
38.6°, I 39.6, (1 3 1)
43.8°, I 30.4, (1 1 2)
45.3°, I 21.6, (2 0 2)
46.4°, I 48.3, (3 3 1)

Lattice parameters (Å, degrees): 10.175 8.620 4.354 90.00 90.00 90.00
Space group Cmc2_1 (No. 36)
Unique sites:
Na  0.214  0.125  0.000 [8 per cell]
Pd  0.000  0.411  0.259 [4 per cell]
C  0.000  0.168  0.495 [4 per cell]
N  0.123  0.165  0.497 [8 per cell]